Computed powder X-ray diffraction pattern
Compound: Hg3Sb2Pb6
Radiation: λ = 1.5418 Å (Cu Kα)
Structure: a crystal structure in Alexandria, relaxed with PBE
Neutral-atom scattering factors, no anomalous dispersion.

Top 10 peaks for 2θ = 10–80°, low angle first:
2theta	I/Imax
28.2	100
31.3	6
39.2	45
41.3	29
49.0	23
58.3	11
64.5	20
67.4	9
71.1	10
72.5	11

Structure:
abc: 4.5920 4.5920 57.6063
angles: 90.00 90.00 120.00
Space group R-3m (No. 166, hexagonal axes)
Asymmetric unit:
Hg1 0.0000 0.0000 0.0000 (multiplicity 3)
Hg2 0.0000 0.0000 0.2773 (multiplicity 6)
Sb1 0.0000 0.0000 0.4515 (multiplicity 6)
Pb1 0.0000 0.0000 0.0865 (multiplicity 6)
Pb2 0.0000 0.0000 0.1863 (multiplicity 6)
Pb3 0.0000 0.0000 0.3601 (multiplicity 6)


Computed powder X-ray diffraction pattern
Compound: Hg3SbPb6
Radiation: λ = 1.5418 Å (Cu Kα)
Structure: a crystal structure in Alexandria, relaxed with PBE
Neutral-atom scattering factors, no anomalous dispersion.

Top 10 peaks for 2θ = 10–80°, low angle first:
2theta	I/Imax
25.3	21
28.5	25
29.9	34
31.7	40
32.6	62
33.5	100
33.9	78
44.2	40
55.2	17
55.4	19

Structure:
abc: 11.286 4.097 14.397
angles: 90.00 111.87 90.00
Space group P2_1/m (No. 11)
Asymmetric unit:
Hg1 0.053 0.250 0.334 (multiplicity 2)
Hg2 0.252 0.750 0.292 (multiplicity 2)
Hg3 0.345 0.250 0.069 (multiplicity 2)
Sb1 0.285 0.250 0.705 (multiplicity 2)
Pb1 0.094 0.250 0.840 (multiplicity 2)
Pb2 0.127 0.750 0.053 (multiplicity 2)
Pb3 0.141 0.750 0.527 (multiplicity 2)
Pb4 0.365 0.750 0.897 (multiplicity 2)
Pb5 0.369 0.250 0.493 (multiplicity 2)
Pb6 0.494 0.250 0.297 (multiplicity 2)


Computed powder X-ray diffraction pattern
Compound: Hg5Sb2Pb6
Radiation: λ = 1.5418 Å (Cu Kα)
Structure: a crystal structure in Alexandria, relaxed with PBE
Neutral-atom scattering factors, no anomalous dispersion.

Top 10 peaks for 2θ = 10–80°, low angle first:
2theta	I/Imax
29.1	53
29.9	40
30.4	35
31.2	100
33.3	89
33.7	41
34.6	51
35.1	40
35.9	40
36.5	54

Structure:
abc: 6.281 11.950 11.096
angles: 90.00 109.82 90.00
Space group P2_1/c (No. 14)
Asymmetric unit:
Hg1 0.000 0.000 0.000 (multiplicity 2)
Hg2 0.144 0.026 0.756 (multiplicity 4)
Hg3 0.155 0.124 0.470 (multiplicity 4)
Sb1 0.356 0.705 0.179 (multiplicity 4)
Pb1 0.096 0.216 0.185 (multiplicity 4)
Pb2 0.397 0.548 0.807 (multiplicity 4)
Pb3 0.485 0.146 0.017 (multiplicity 4)